1.
The following is a simulated PXRD pattern of V4O7. It was derived from a PBE+U-relaxed structure, using Cu Kα.

Principal peaks in the range 10 to 80 degrees two-theta, sorted by position:
2θ 14.0, rel. 48, hkl 0 1 0
2θ 19.2, rel. 34, hkl 0 1 -1
2θ 28.3, rel. 93, hkl 0 2 0
2θ 28.9, rel. 35, hkl 1 0 2
2θ 29.3, rel. 59, hkl 0 1 -2
2θ 29.5, rel. 55, hkl 1 2 0
2θ 30.3, rel. 68, hkl 1 1 2
2θ 31.8, rel. 100, hkl 2 0 0
2θ 45.4, rel. 55, hkl 1 3 -1
2θ 55.9, rel. 39, hkl -3 1 1

Cell: 5.7617 6.4560 7.1214 Å, 87.08 85.99 78.30°
Space group P-1 (No. 2)
One atom of each set of equivalent atoms:
V  0.1804  0.3268  0.0805
V  0.2160  0.7875  0.7119
V  0.2748  0.7873  0.1962
V  0.2781  0.3783  0.4899
O  0.0177  0.5716  0.6694
O  0.0966  0.0585  0.1916
O  0.1733  0.6346  0.0015
O  0.2611  0.1391  0.6932
O  0.3507  0.6800  0.4489
O  0.3847  0.1911  0.8594
O  0.4448  0.2884  0.2501


2.
The following is a simulated PXRD pattern of V7O4. It was derived from a PBE+U-relaxed structure, using Cu Kα.

Principal peaks in the range 10 to 80 degrees two-theta, sorted by position:
2θ 34.9, rel. 14, hkl 2 0 -3
2θ 35.8, rel. 33, hkl 2 0 3
2θ 36.1, rel. 87, hkl 1 1 -2
2θ 40.5, rel. 100, hkl 3 1 1
2θ 44.5, rel. 27, hkl 2 0 -4
2θ 58.4, rel. 14, hkl 6 0 2
2θ 58.9, rel. 15, hkl 0 2 0
2θ 61.5, rel. 20, hkl 1 1 5
2θ 61.9, rel. 15, hkl 5 1 -3
2θ 70.9, rel. 14, hkl 2 2 3

Cell: 10.2809 3.1370 8.7647 Å, 90.00 91.71 90.00°
Space group C2/m (No. 12)
One atom of each set of equivalent atoms:
V  0.0000  0.0000  0.0000
V  0.0561  0.5000  0.3091
V  0.1547  0.0000  0.5536
V  0.2257  0.5000  0.8398
O  0.0819  0.0000  0.7760
O  0.1388  0.5000  0.0753


3.
The following is a simulated PXRD pattern of V2O5. It was derived from a PBE+U-relaxed structure, using Cu Kα.

Principal peaks in the range 10 to 80 degrees two-theta, sorted by position:
2θ 12.1, rel. 74, hkl 0 0 1
2θ 18.4, rel. 39, hkl 1 0 -1
2θ 27.5, rel. 100, hkl 0 1 1
2θ 28.0, rel. 47, hkl 2 0 0
2θ 28.2, rel. 41, hkl 1 0 2
2θ 31.0, rel. 57, hkl 1 1 -1
2θ 39.7, rel. 52, hkl 1 0 3
2θ 44.4, rel. 32, hkl 3 0 -1
2θ 50.5, rel. 30, hkl 0 2 0
2θ 56.1, rel. 18, hkl 3 1 -2

Cell: 6.3750 3.6144 7.3031 Å, 90.00 90.20 90.00°
Space group P2_1/m (No. 11)
One atom of each set of equivalent atoms:
V  0.1919  0.2500  0.4025
V  0.2618  0.7500  0.7777
O  0.0352  0.2500  0.2042
O  0.1445  0.7500  0.4691
O  0.2613  0.2500  0.6933
O  0.3205  0.7500  0.9906
O  0.4379  0.2500  0.3232


4.
The following is a simulated PXRD pattern of VO2. It was derived from a PBE+U-relaxed structure, using Cu Kα.

Principal peaks in the range 10 to 80 degrees two-theta, sorted by position:
2θ 18.6, rel. 42, hkl 1 1 0
2θ 24.9, rel. 100, hkl 0 2 0
2θ 29.6, rel. 99, hkl 2 0 -2
2θ 32.2, rel. 29, hkl 0 2 1
2θ 32.3, rel. 29, hkl 2 2 -1
2θ 34.1, rel. 86, hkl 1 1 1
2θ 34.3, rel. 82, hkl 3 1 -1
2θ 40.6, rel. 32, hkl 1 3 -1
2θ 55.3, rel. 36, hkl 1 1 -3
2θ 55.7, rel. 31, hkl 5 1 -3

Cell: 8.7428 7.1611 6.0381 Å, 90.00 133.23 90.00°
Space group C2/c (No. 15)
One atom of each set of equivalent atoms:
V  0.0000  0.1761  0.2500
V  0.2500  0.2500  0.0000
O  0.0018  0.2677  0.9696
O  0.2143  0.0323  0.4641


5.
The following is a simulated PXRD pattern of VO2. It was derived from a PBE+U-relaxed structure, using Cu Kα.

Principal peaks in the range 10 to 80 degrees two-theta, sorted by position:
2θ 10.2, rel. 100, hkl 0 0 1
2θ 13.4, rel. 92, hkl 0 1 0
2θ 16.6, rel. 7, hkl 0 1 1
2θ 17.1, rel. 6, hkl 0 1 -1
2θ 22.0, rel. 24, hkl 1 0 -1
2θ 25.6, rel. 4, hkl 1 1 -1
2θ 26.3, rel. 4, hkl 1 0 2
2θ 29.0, rel. 15, hkl 1 0 -2
2θ 34.6, rel. 7, hkl 1 0 3
2θ 37.8, rel. 8, hkl 2 0 1

Cell: 4.8404 6.6249 8.7124 Å, 88.10 84.34 87.84°
Space group P-1 (No. 2)
One atom of each set of equivalent atoms:
V  0.0076  0.3340  0.0047
V  0.3695  0.5024  0.2033
O  0.2385  0.7470  0.1254
O  0.2456  0.4986  0.8613
O  0.2610  0.2569  0.1392
O  0.3093  0.5040  0.3882


Copy entry 5 word for word.
The following is a simulated PXRD pattern of VO2. It was derived from a PBE+U-relaxed structure, using Cu Kα.

Principal peaks in the range 10 to 80 degrees two-theta, sorted by position:
2θ 10.2, rel. 100, hkl 0 0 1
2θ 13.4, rel. 92, hkl 0 1 0
2θ 16.6, rel. 7, hkl 0 1 1
2θ 17.1, rel. 6, hkl 0 1 -1
2θ 22.0, rel. 24, hkl 1 0 -1
2θ 25.6, rel. 4, hkl 1 1 -1
2θ 26.3, rel. 4, hkl 1 0 2
2θ 29.0, rel. 15, hkl 1 0 -2
2θ 34.6, rel. 7, hkl 1 0 3
2θ 37.8, rel. 8, hkl 2 0 1

Cell: 4.8404 6.6249 8.7124 Å, 88.10 84.34 87.84°
Space group P-1 (No. 2)
One atom of each set of equivalent atoms:
V  0.0076  0.3340  0.0047
V  0.3695  0.5024  0.2033
O  0.2385  0.7470  0.1254
O  0.2456  0.4986  0.8613
O  0.2610  0.2569  0.1392
O  0.3093  0.5040  0.3882